Computed powder X-ray diffraction pattern of NpCoIrO6 for copper Kα, from the PBE+U geometry in Alexandria.

Structural model:
abc: 5.0877 5.0877 8.9378
angles: 90.00 90.00 120.00
Space group P-31c (No. 163)
Symmetry-distinct sites (fractional):
Np 0.3333 0.6667 0.2500 (multiplicity 2)
Co 0.3333 0.6667 0.7500 (multiplicity 2)
Ir 0.0000 0.0000 0.0000 (multiplicity 2)
O 0.0188 0.3428 0.6264 (multiplicity 12)

Largest 10 diffraction maxima, low angle first, 2θ = 5–70°:
2θ (°)  intensity
22.5  30.5
28.4  100.0
35.3  47.5
36.4  10.5
40.4  8.8
45.9  27.5
54.7  40.1
59.2  26.0
63.3  14.6
66.2  9.3